LiPm3Tl4: calculated PXRD pattern (Cu Kα, 1.54184 Å), based on DFT lattice parameters and positions (PBE).

Structural model:
Lattice parameters (Å, degrees): 8.5187 8.5187 8.5187 155.27 113.21 72.40
Positions (direct):
Li 0.0000 0.0000 0.0000
Pm 0.2221 0.7221 0.5000
Pm 0.5000 0.5000 0.0000
Pm 0.7779 0.2779 0.5000
Tl 0.1312 0.8804 0.2508
Tl 0.3704 0.1196 0.2508
Tl 0.6296 0.8804 0.7492
Tl 0.8688 0.1196 0.7492

Principal peaks in the range 2θ from 10° to 80°, by intensity:
2.772 Å, 2θ 32.3, I = 100.0; 2.818 Å, 2θ 31.8, I = 92.3; 2.196 Å, 2θ 41.1, I = 39.7; 2.344 Å, 2θ 38.4, I = 35.7; 3.047 Å, 2θ 29.3, I = 35.4; 1.524 Å, 2θ 60.8, I = 33.8; 1.603 Å, 2θ 57.5, I = 30.0; 2.438 Å, 2θ 36.9, I = 26.8

Li3PmTl4: calculated PXRD pattern (Cu Kα, 1.54184 Å), based on DFT lattice parameters and positions (PBE).

Structural model:
Lattice parameters (Å, degrees): 9.0770 9.0770 9.0770 32.08 32.08 32.08
Positions (direct):
Li 0.0000 0.0000 0.0000
Li 0.2518 0.2518 0.2518
Li 0.7482 0.7482 0.7482
Pm 0.5000 0.5000 0.5000
Tl 0.1144 0.1144 0.1144
Tl 0.3705 0.3705 0.3705
Tl 0.6295 0.6295 0.6295
Tl 0.8856 0.8856 0.8856

Principal peaks in the range 2θ from 10° to 80°, by intensity:
3.604 Å, 2θ 24.7, I = 100.0; 2.508 Å, 2θ 35.8, I = 94.1; 2.590 Å, 2θ 34.6, I = 89.3; 1.464 Å, 2θ 63.6, I = 34.3; 1.802 Å, 2θ 50.7, I = 30.9; 2.059 Å, 2θ 44.0, I = 22.3; 1.591 Å, 2θ 58.0, I = 20.1; 1.448 Å, 2θ 64.3, I = 17.5